(1)
Er6SnSb3Se2: theoretical powder X-ray diffraction pattern (Cu Kα (weighted mean of Kα1 and Kα2)), based on a structure optimized by DFT (GGA-PBE).
Peak positions follow from Bragg's law for the DFT cell and can differ from measured ones.

Structure:
Lattice parameters (Å, degrees): 9.5090 9.5090 8.5432 102.81 102.81 25.89
Fractional positions:
Er: 0.0034 0.0034 0.2499
Er: 0.3315 0.3315 0.4198
Er: 0.3336 0.3336 0.9124
Er: 0.6664 0.6664 0.0876
Er: 0.6685 0.6685 0.5802
Er: 0.9966 0.9966 0.7501
Sn: 0.5000 0.5000 0.0000
Sb: 0.1667 0.1667 0.8312
Sb: 0.5000 0.5000 0.5000
Sb: 0.8333 0.8333 0.1688
Se: 0.1691 0.1691 0.3381
Se: 0.8309 0.8309 0.6619

The 10 most intense peaks (2θ = 10–90°), in order of rising 2θ:
| 2θ (°) | d/Å | I (rel.) |
| --- | --- | --- |
| 25.60 | 3.480 | 8 |
| 29.64 | 3.014 | 100 |
| 42.37 | 2.133 | 38 |
| 42.47 | 2.128 | 38 |
| 52.47 | 1.744 | 7 |
| 52.65 | 1.739 | 20 |
| 61.48 | 1.508 | 8 |
| 69.81 | 1.347 | 17 |
| 77.58 | 1.231 | 11 |
| 77.70 | 1.229 | 8 |

---

(2)
Nd4ZnSe2: theoretical powder X-ray diffraction pattern (Cu Kα (weighted mean of Kα1 and Kα2)), based on a structure optimized by DFT (GGA-PBE).
Peak positions follow from Bragg's law for the DFT cell and can differ from measured ones.

Structure:
Lattice parameters (Å, degrees): 8.1647 8.1647 8.1647 109.49 109.49 109.42
Fractional positions:
Nd: 0.1951 0.2535 0.5584
Nd: 0.1951 0.6367 0.9416
Nd: 0.2535 0.1951 0.0584
Nd: 0.3633 0.8049 0.5584
Nd: 0.6367 0.1951 0.4416
Nd: 0.7465 0.8049 0.9416
Nd: 0.8049 0.3633 0.0584
Nd: 0.8049 0.7465 0.4416
Zn: 0.1250 0.8750 0.2500
Zn: 0.8750 0.1250 0.7500
Se: 0.0000 0.5000 0.5000
Se: 0.5000 0.0000 0.0000
Se: 0.5000 0.5000 0.0000
Se: 0.5000 0.5000 0.5000

The 10 most intense peaks (2θ = 10–90°), in order of rising 2θ:
| 2θ (°) | d/Å | I (rel.) |
| --- | --- | --- |
| 26.75 | 3.333 | 88 |
| 29.96 | 2.982 | 100 |
| 35.64 | 2.519 | 64 |
| 38.19 | 2.356 | 30 |
| 45.11 | 2.010 | 46 |
| 49.28 | 1.849 | 45 |
| 56.96 | 1.617 | 16 |
| 70.65 | 1.333 | 26 |
| 73.85 | 1.283 | 16 |
| 80.16 | 1.197 | 18 |

---

(3)
Hf2V3Ge: theoretical powder X-ray diffraction pattern (Cu Kα (weighted mean of Kα1 and Kα2)), based on a structure optimized by DFT (GGA-PBE).
Peak positions follow from Bragg's law for the DFT cell and can differ from measured ones.

Structure:
Lattice parameters (Å, degrees): 5.2215 5.2215 5.2215 59.12 59.12 59.12
Fractional positions:
Hf: 0.1239 0.1239 0.1239
Hf: 0.8761 0.8761 0.8761
V: 0.0000 0.5000 0.5000
V: 0.5000 0.0000 0.5000
V: 0.5000 0.5000 0.0000
Ge: 0.5000 0.5000 0.5000

The 10 most intense peaks (2θ = 10–90°), in order of rising 2θ:
| 2θ (°) | d/Å | I (rel.) |
| --- | --- | --- |
| 21.07 | 4.216 | 30 |
| 34.36 | 2.610 | 63 |
| 34.83 | 2.576 | 81 |
| 40.45 | 2.230 | 55 |
| 40.86 | 2.209 | 100 |
| 41.06 | 2.198 | 38 |
| 62.14 | 1.494 | 23 |
| 66.25 | 1.411 | 25 |
| 66.54 | 1.405 | 23 |
| 72.41 | 1.305 | 22 |

---

(4)
DyHoTm5Th2: theoretical powder X-ray diffraction pattern (Cu Kα (weighted mean of Kα1 and Kα2)), based on a structure optimized by DFT (GGA-PBE).
Peak positions follow from Bragg's law for the DFT cell and can differ from measured ones.

Structure:
Lattice parameters (Å, degrees): 9.8068 9.8068 9.8068 127.43 127.43 77.55
Fractional positions:
Dy: 0.2500 0.7500 0.5000
Dy: 0.7500 0.2500 0.5000
Ho: 0.2500 0.2500 0.0000
Ho: 0.7500 0.7500 0.0000
Tm: 0.0000 0.0000 0.0000
Tm: 0.0700 0.5700 0.9210
Tm: 0.1490 0.0700 0.5000
Tm: 0.3510 0.8510 0.9210
Tm: 0.4300 0.3510 0.5000
Tm: 0.5000 0.5000 0.0000
Tm: 0.5700 0.6490 0.5000
Tm: 0.6490 0.1490 0.0790
Tm: 0.8510 0.9300 0.5000
Tm: 0.9300 0.4300 0.0790
Th: 0.1194 0.3806 0.5000
Th: 0.3806 0.8806 0.2612
Th: 0.6194 0.1194 0.7388
Th: 0.8806 0.6194 0.5000

The 10 most intense peaks (2θ = 10–90°), in order of rising 2θ:
| 2θ (°) | d/Å | I (rel.) |
| --- | --- | --- |
| 28.90 | 3.089 | 71 |
| 29.08 | 3.071 | 54 |
| 31.17 | 2.869 | 100 |
| 32.60 | 2.747 | 18 |
| 34.71 | 2.585 | 16 |
| 37.43 | 2.403 | 17 |
| 37.81 | 2.380 | 26 |
| 43.34 | 2.088 | 27 |
| 47.57 | 1.911 | 14 |
| 52.88 | 1.731 | 23 |

---

(5)
Al3TlGa3: theoretical powder X-ray diffraction pattern (Cu Kα (weighted mean of Kα1 and Kα2)), based on a structure optimized by DFT (GGA-PBE).
Peak positions follow from Bragg's law for the DFT cell and can differ from measured ones.

Structure:
Lattice parameters (Å, degrees): 7.2147 7.2147 7.2147 90.00 90.00 90.00
Fractional positions:
Al: 0.0000 0.2500 0.5000
Al: 0.0000 0.7500 0.5000
Al: 0.2500 0.5000 0.0000
Al: 0.5000 0.0000 0.2500
Al: 0.5000 0.0000 0.7500
Al: 0.7500 0.5000 0.0000
Tl: 0.0000 0.0000 0.0000
Tl: 0.5000 0.5000 0.5000
Ga: 0.0000 0.5000 0.2500
Ga: 0.0000 0.5000 0.7500
Ga: 0.2500 0.0000 0.5000
Ga: 0.5000 0.2500 0.0000
Ga: 0.5000 0.7500 0.0000
Ga: 0.7500 0.0000 0.5000

The 10 most intense peaks (2θ = 10–90°), in order of rising 2θ:
| 2θ (°) | d/Å | I (rel.) |
| --- | --- | --- |
| 17.38 | 5.102 | 19 |
| 24.68 | 3.607 | 42 |
| 27.65 | 3.227 | 12 |
| 30.35 | 2.945 | 100 |
| 47.13 | 1.928 | 60 |
| 50.61 | 1.804 | 17 |
| 57.09 | 1.613 | 17 |
| 60.16 | 1.538 | 14 |
| 71.64 | 1.317 | 17 |
| 82.40 | 1.170 | 18 |